# CoRe2O8
Calculated PXRD pattern, Cu Ka. Input: a DFT-relaxed cell (PBE+U, the Materials Project).

Cell and atoms:
Cell lengths 5.795, 6.684, 10.040 Å; angles 89.89, 89.84, 89.76 degrees
Space group P-1 (No. 2)
One atom of each set of equivalent atoms:
Co 0.000 0.000 0.000
Co 0.500 0.000 0.500
Re 0.001 0.733 0.668
Re 0.498 0.267 0.832
O 0.001 0.474 0.666
O 0.010 0.817 0.833
O 0.245 0.821 0.581
O 0.250 0.176 0.410
O 0.250 0.823 0.091
O 0.254 0.180 0.919
O 0.489 0.182 0.667
O 0.500 0.473 0.167

Peak list (6 most intense, 2θ = 10–90°, in order of rising 2θ)
hkl, Position (°2θ), I (rel.)
0 0 2, 17.7, 103
1 -1 1, 22.1, 1000
0 2 0, 26.7, 97
1 0 3, 30.9, 341
0 2 -2, 32.2, 87
2 -1 4, 50.0, 172

# CoRe2O6
Calculated PXRD pattern, Cu Ka. Input: a DFT-relaxed cell (PBE+U, the Materials Project).

Cell and atoms:
Cell lengths 4.774, 4.774, 8.501 Å; angles 90.00, 90.00, 90.00 degrees
Space group P4_2/mnm (No. 136)
One atom of each set of equivalent atoms:
Co 0.000 0.000 0.000
Re 0.000 0.000 0.346
O 0.213 0.213 0.177
O 0.218 0.218 0.500

Peak list (6 most intense, 2θ = 10–90°, in order of rising 2θ)
hkl, Position (°2θ), I (rel.)
1 0 1, 21.3, 368
1 1 0, 26.4, 1000
1 0 3, 36.9, 697
2 0 0, 37.7, 242
2 1 3, 53.8, 567
2 2 0, 54.4, 179

# Sr4Co3ReO12
Calculated PXRD pattern, Cu Ka. Input: a DFT-relaxed cell (PBE+U, the Materials Project).

Cell and atoms:
Cell lengths 5.585, 5.585, 7.883 Å; angles 90.00, 90.00, 90.00 degrees
Space group P4/mmm (No. 123)
One atom of each set of equivalent atoms:
Sr 0.000 0.500 0.224
Co 0.000 0.000 0.000
Co 0.000 0.000 0.500
Co 0.500 0.500 0.000
Re 0.500 0.500 0.500
O 0.000 0.000 0.264
O 0.246 0.246 0.000
O 0.261 0.261 0.500
O 0.500 0.500 0.260

Peak list (6 most intense, 2θ = 10–90°, in order of rising 2θ)
hkl, Position (°2θ), I (rel.)
1 1 1, 25.2, 98
2 0 0, 32.1, 1000
2 2 0, 46.0, 338
3 1 2, 57.2, 359
4 0 0, 67.1, 187
4 2 0, 76.3, 113

# Co2RuO4
Calculated PXRD pattern, Cu Ka. Input: a DFT-relaxed cell (PBE+U, the Materials Project).

Cell and atoms:
Cell lengths 6.110, 6.110, 10.074 Å; angles 75.17, 75.24, 60.35 degrees
Space group P1 (No. 1)
One atom of each set of equivalent atoms:
Co 0.000 0.000 0.000
Co 0.001 0.497 0.998
Co 0.036 0.095 0.309
Co 0.402 0.460 0.191
Co 0.497 0.502 0.500
Co 0.589 0.543 0.809
Co 0.955 0.908 0.692
Co 0.999 0.499 0.501
Ru 0.277 0.223 0.748
Ru 0.499 0.001 0.500
Ru 0.500 0.997 0.002
Ru 0.716 0.781 0.249
O 0.062 0.661 0.130
O 0.145 0.115 0.622
O 0.145 0.132 0.107
O 0.160 0.573 0.628
O 0.363 0.352 0.393
O 0.368 0.876 0.378
O 0.374 0.873 0.878
O 0.385 0.350 0.878
O 0.615 0.642 0.121
O 0.623 0.130 0.122
O 0.628 0.128 0.619
O 0.633 0.650 0.607
O 0.836 0.434 0.371
O 0.850 0.884 0.379
O 0.853 0.866 0.894
O 0.929 0.338 0.869

Peak list (6 most intense, 2θ = 10–90°, in order of rising 2θ)
hkl, Position (°2θ), I (rel.)
1 2 -1, 34.0, 754
1 -1 2, 34.6, 938
0 1 -3, 34.9, 1000
1 2 3, 35.6, 932
1 1 4, 36.3, 691
0 2 -2, 41.7, 758